Entry 1:
Simulated powder diffractogram of LiBi2IO6 for Cu Ka, from the GGA-PBE geometry in Alexandria.
Lines closer than 0.1° are merged.

Structure:
Cell lengths 5.7332, 5.7332, 18.0055 Å; angles 90.00, 90.00, 120.00 degrees
Space group R3 (No. 146, hexagonal axes)
Symmetry-distinct sites (fractional):
Li 0.0000 0.0000 0.0000 [3 per cell]
Bi 0.0000 0.0000 0.2774 [3 per cell]
Bi 0.0000 0.0000 0.7347 [3 per cell]
I 0.0000 0.0000 0.4767 [3 per cell]
O 0.0187 0.3498 0.0151 [9 per cell]
O 0.0296 0.6364 0.1883 [9 per cell]

Top 12 peaks for 10° ≤ 2θ ≤ 80°, sorted by position:
two_theta	I_rel	(hkl)
18.54	39	1 0 1
20.43	63	0 1 2
26.73	100	1 0 4
30.67	40	0 1 5
31.20	77	1 1 0
37.58	17	2 0 2
39.45	17	1 0 7
41.54	31	0 2 4
43.67	22	2 -1 6
52.86	31	2 1 4
55.52	24	3 0 0
56.06	20	1 1 9

***

Entry 2:
Simulated powder diffractogram of PrGeIN2 for Cu Ka, from the GGA-PBE geometry in Alexandria.
Lines closer than 0.1° are merged.

Structure:
Cell lengths 7.654, 4.163, 7.816 Å; angles 90.00, 116.43, 90.00 degrees
Space group P2_1/m (No. 11)
Symmetry-distinct sites (fractional):
Pr 0.048 0.250 0.331 [2 per cell]
Ge 0.410 0.750 0.567 [2 per cell]
I 0.259 0.250 0.017 [2 per cell]
N 0.148 0.750 0.501 [2 per cell]
N 0.427 0.250 0.554 [2 per cell]

Top 12 peaks for 10° ≤ 2θ ≤ 80°, sorted by position:
two_theta	I_rel	(hkl)
24.89	78	0 1 1
25.03	43	1 1 0
27.13	99	2 0 -2
30.71	100	1 1 1
31.44	33	1 1 -2
31.78	57	2 1 -1
33.48	42	1 0 2
33.86	81	2 0 1
41.07	44	1 1 -3
43.48	44	0 2 0
52.00	32	2 2 -2
56.22	30	2 2 1

***

Entry 3:
Simulated powder diffractogram of Dy3CoRu for Cu Ka, from the GGA-PBE geometry in Alexandria.
Lines closer than 0.1° are merged.

Structure:
Cell lengths 7.637, 4.052, 7.925 Å; angles 90.00, 113.67, 90.00 degrees
Space group P2_1/m (No. 11)
Symmetry-distinct sites (fractional):
Dy 0.087 0.250 0.221 [2 per cell]
Dy 0.312 0.250 0.920 [2 per cell]
Dy 0.372 0.750 0.595 [2 per cell]
Co 0.041 0.250 0.559 [2 per cell]
Ru 0.343 0.750 0.184 [2 per cell]

Top 12 peaks for 10° ≤ 2θ ≤ 80°, sorted by position:
two_theta	I_rel	(hkl)
30.46	100	1 1 1
31.72	57	1 1 -2
32.28	93	2 1 -1
32.58	44	2 0 1
33.14	52	0 1 2
33.86	72	2 1 0
34.00	71	1 0 -3
35.38	96	2 1 -2
38.62	41	3 0 0
39.15	48	1 1 2
44.73	70	0 2 0
57.36	55	1 2 -3

***

Entry 4:
Simulated powder diffractogram of Mg12Tl3Pd for Cu Ka, from the GGA-PBE geometry in Alexandria.
Lines closer than 0.1° are merged.

Structure:
Cell lengths 4.494, 4.494, 17.440 Å; angles 90.00, 90.00, 90.00 degrees
Space group P4/mmm (No. 123)
Symmetry-distinct sites (fractional):
Mg 0.000 0.000 0.000 [1 per cell]
Mg 0.000 0.000 0.238 [2 per cell]
Mg 0.000 0.000 0.500 [1 per cell]
Mg 0.000 0.500 0.107 [4 per cell]
Mg 0.000 0.500 0.369 [4 per cell]
Tl 0.500 0.500 0.239 [2 per cell]
Tl 0.500 0.500 0.500 [1 per cell]
Pd 0.500 0.500 0.000 [1 per cell]

Top 12 peaks for 10° ≤ 2θ ≤ 80°, sorted by position:
two_theta	I_rel	(hkl)
19.75	76	1 0 0
20.37	36	0 0 4
28.08	33	1 1 0
28.52	61	1 0 4
34.94	100	1 1 4
40.13	36	2 0 0
41.43	18	0 0 8
45.11	19	2 1 0
45.41	18	2 0 4
49.97	27	2 1 4
59.04	21	2 0 8
69.58	27	3 1 4

***

Entry 5:
Simulated powder diffractogram of Er3TmIn4 for Cu Ka, from the GGA-PBE geometry in Alexandria.
Lines closer than 0.1° are merged.

Structure:
Cell lengths 10.685, 7.118, 5.444 Å; angles 90.00, 90.00, 90.00 degrees
Space group Pmma (No. 51)
Symmetry-distinct sites (fractional):
Er 0.000 0.000 0.000 [2 per cell]
Er 0.250 0.000 0.423 [2 per cell]
Er 0.250 0.500 0.421 [2 per cell]
Tm 0.000 0.500 0.000 [2 per cell]
In 0.000 0.251 0.500 [4 per cell]
In 0.250 0.251 0.914 [4 per cell]

Top 12 peaks for 10° ≤ 2θ ≤ 80°, sorted by position:
two_theta	I_rel	(hkl)
31.17	9	1 2 1
32.90	19	0 0 2
33.55	31	4 0 0
33.99	11	1 0 2
34.47	100	2 2 1
41.77	7	3 0 2
47.70	13	4 0 2
51.34	9	0 4 0
60.58	19	6 2 1
62.34	6	0 4 2
62.74	10	4 4 0
72.68	7	4 4 2

***

Entry 6:
Simulated powder diffractogram of Li6GaAg6 for Cu Ka, from the GGA-PBE geometry in Alexandria.
Lines closer than 0.1° are merged.

Structure:
Cell lengths 5.5647, 5.5647, 8.9831 Å; angles 90.00, 90.00, 120.00 degrees
Space group P6/mmm (No. 191)
Symmetry-distinct sites (fractional):
Li 0.0000 0.0000 0.1806 [2 per cell]
Li 0.3333 0.6667 0.0000 [2 per cell]
Li 0.3333 0.6667 0.5000 [2 per cell]
Ga 0.0000 0.0000 0.5000 [1 per cell]
Ag 0.0000 0.5000 0.2545 [6 per cell]

Top 12 peaks for 10° ≤ 2θ ≤ 80°, sorted by position:
two_theta	I_rel	(hkl)
18.41	24	1 0 0
19.77	100	0 0 2
27.14	64	1 0 2
37.32	96	2 0 0
38.04	32	1 1 2
40.15	27	0 0 4
42.58	89	2 0 2
54.35	17	2 1 2
55.97	54	2 0 4
67.30	17	2 2 0
70.92	16	2 2 2
74.63	14	2 0 6

***

Question: Number 3 is which compound?
Answer: Dy3CoRu